Tm6MgCd: simulated PXRD pattern (Cu Kα), based on DFT lattice parameters and positions (PBE).
Neutral-atom scattering factors, no anomalous dispersion.

Top 10 peaks for 10° ≤ 2θ ≤ 90°, by angle:
2θ/deg, Rel. int., index
27.2, 8, 1 1 2
32.2, 100, 1 1 4
36.2, 37, 2 0 0
39.5, 14, 0 0 8
52.2, 13, 2 2 0
54.7, 21, 2 0 8
62.7, 30, 3 1 4
67.0, 10, 1 1 12
67.4, 11, 2 2 8
89.8, 10, 3 1 12

Atomic structure:
Lattice parameters (Å, degrees): 4.958 4.958 18.264 90.00 90.00 90.00
Space group I4/mmm (No. 139)
Unique sites:
Tm 0.000 0.000 0.249 [4 per cell]
Tm 0.000 0.500 0.118 [8 per cell]
Mg 0.000 0.000 0.000 [2 per cell]
Cd 0.000 0.000 0.500 [2 per cell]